Calculated powder diffraction line list
Compound: PrEr3Tm8
Radiation: λ = 1.5418 Å (Cu Kα)
Structure: a crystal structure in Alexandria, relaxed with GGA-PBE
Lines closer than 0.1° are merged.

Atomic structure:
a = 8.538 Å, b = 8.538 Å, c = 8.538 Å
α = 136.54°, β = 98.08°, γ = 97.67°
Fractional coordinates of all 12 atoms:
1 Pr 0.000 0.000 0.000
2 Er 0.259 0.759 0.500
3 Er 0.500 0.500 0.000
4 Er 0.741 0.241 0.500
5 Tm 0.081 0.251 0.830
6 Tm 0.258 0.246 0.504
7 Tm 0.258 0.754 0.012
8 Tm 0.421 0.251 0.170
9 Tm 0.579 0.749 0.830
10 Tm 0.742 0.246 0.988
11 Tm 0.742 0.754 0.496
12 Tm 0.919 0.749 0.170

Peak list (10 most intense, 5 to 70 degrees two-theta, low angle first)
2θ/deg  I_rel
27.76  20
31.85  58
32.09  100
32.51  78
35.83  22
36.35  42
46.18  22
52.46  25
57.35  21
67.11  27